(1)
TbPm3Sc7: simulated powder diffraction line list (Cu Kα), based on a cell relaxed with PBE.
No peak broadening, texture or thermal motion is included.

Main lines, by angle (2θ from 5° to 70°):
| 2theta | I_rel |
| --- | --- |
| 16.41 | 44 |
| 24.82 | 100 |
| 32.56 | 46 |
| 33.18 | 35 |
| 34.07 | 20 |
| 34.30 | 85 |
| 34.57 | 37 |
| 47.17 | 26 |
| 59.22 | 17 |
| 59.44 | 20 |

Lattice parameters (Å, degrees): 8.0268 8.0268 8.0268 139.93 98.05 95.43
Element x y z (fractional)
Tb 0.0000 0.0000 0.0000
Pm 0.2847 0.5000 0.7847
Pm 0.5000 0.0000 0.5000
Pm 0.7153 0.5000 0.2153
Sc 0.0000 0.5000 0.5000
Sc 0.0912 0.7813 0.3099
Sc 0.2925 0.2925 0.0000
Sc 0.4714 0.7813 0.6901
Sc 0.5286 0.2187 0.3099
Sc 0.7075 0.7075 0.0000
Sc 0.9088 0.2187 0.6901

(2)
NaGdTiO4: simulated powder diffraction line list (Cu Kα), based on a cell relaxed with PBE.
No peak broadening, texture or thermal motion is included.

Main lines, by angle (2θ from 5° to 70°):
| 2theta | I_rel |
| --- | --- |
| 6.85 | 100 |
| 27.56 | 40 |
| 31.69 | 40 |
| 33.89 | 27 |
| 34.61 | 8 |
| 44.27 | 11 |
| 48.68 | 15 |
| 49.29 | 14 |
| 56.86 | 12 |
| 59.26 | 14 |

Lattice parameters (Å, degrees): 3.7411 3.7411 12.9104 90.00 90.00 90.00
Element x y z (fractional)
Na 0.2500 0.2500 0.0832
Na 0.7500 0.7500 0.9168
Gd 0.2500 0.2500 0.3942
Gd 0.7500 0.7500 0.6058
Ti 0.2500 0.2500 0.7665
Ti 0.7500 0.7500 0.2335
O 0.2500 0.2500 0.5663
O 0.2500 0.2500 0.9036
O 0.2500 0.7500 0.2718
O 0.2500 0.7500 0.7282
O 0.7500 0.2500 0.2718
O 0.7500 0.2500 0.7282
O 0.7500 0.7500 0.0964
O 0.7500 0.7500 0.4337

(3)
VCrMo4: simulated powder diffraction line list (Cu Kα), based on a cell relaxed with PBE.
No peak broadening, texture or thermal motion is included.

Main lines, by angle (2θ from 5° to 70°):
| 2theta | I_rel |
| --- | --- |
| 19.09 | 3 |
| 30.51 | 6 |
| 38.73 | 1 |
| 41.30 | 100 |
| 45.92 | 1 |
| 57.93 | 2 |
| 59.65 | 5 |
| 59.91 | 11 |
| 63.49 | 1 |
| 68.72 | 1 |

Lattice parameters (Å, degrees): 3.0877 3.0877 9.3003 90.00 90.00 90.00
Element x y z (fractional)
V 0.0000 0.0000 0.0000
Cr 0.5000 0.5000 0.5000
Mo 0.0000 0.0000 0.3382
Mo 0.0000 0.0000 0.6618
Mo 0.5000 0.5000 0.1661
Mo 0.5000 0.5000 0.8339

(4)
Ti6In3C: simulated powder diffraction line list (Cu Kα), based on a cell relaxed with PBE.
No peak broadening, texture or thermal motion is included.

Main lines, by angle (2θ from 5° to 70°):
| 2theta | I_rel |
| --- | --- |
| 18.01 | 54 |
| 24.31 | 100 |
| 31.63 | 40 |
| 33.60 | 55 |
| 36.69 | 91 |
| 38.24 | 81 |
| 38.75 | 71 |
| 41.26 | 84 |
| 41.57 | 99 |
| 64.52 | 29 |

Lattice parameters (Å, degrees): 5.6995 5.6995 7.0565 106.62 106.62 61.44
Element x y z (fractional)
Ti 0.1419 0.6458 0.6097
Ti 0.3220 0.3220 0.2282
Ti 0.3542 0.8581 0.3903
Ti 0.6458 0.1419 0.6097
Ti 0.6780 0.6780 0.7718
Ti 0.8581 0.3542 0.3903
In 0.0000 0.0000 0.0000
In 0.1996 0.1996 0.7711
In 0.8004 0.8004 0.2289
C 0.5000 0.5000 0.5000

(5)
Ac3AlAg3S8: simulated powder diffraction line list (Cu Kα), based on a cell relaxed with PBE.
No peak broadening, texture or thermal motion is included.

Main lines, by angle (2θ from 5° to 70°):
| 2theta | I_rel |
| --- | --- |
| 15.03 | 23 |
| 15.55 | 29 |
| 20.77 | 21 |
| 26.01 | 30 |
| 26.12 | 59 |
| 31.39 | 100 |
| 31.75 | 48 |
| 42.17 | 21 |
| 42.31 | 41 |
| 48.06 | 30 |

Lattice parameters (Å, degrees): 7.6696 7.6696 7.7304 112.60 112.60 67.95
Element x y z (fractional)
Ac 0.0000 0.0000 0.0000
Ac 0.0000 0.5000 0.5000
Ac 0.5000 0.0000 0.5000
Al 0.5000 0.5000 0.0000
Ag 0.0000 0.5000 0.0000
Ag 0.5000 0.0000 0.0000
Ag 0.5000 0.5000 0.5000
S 0.2515 0.2515 0.2527
S 0.2798 0.6986 0.2164
S 0.2807 0.2807 0.7994
S 0.3014 0.7202 0.7836
S 0.6986 0.2798 0.2164
S 0.7193 0.7193 0.2006
S 0.7202 0.3014 0.7836
S 0.7485 0.7485 0.7473

(6)
Li2Ga5Ag3: simulated powder diffraction line list (Cu Kα), based on a cell relaxed with PBE.
No peak broadening, texture or thermal motion is included.

Main lines, by angle (2θ from 5° to 70°):
| 2theta | I_rel |
| --- | --- |
| 14.04 | 37 |
| 20.12 | 46 |
| 30.95 | 61 |
| 37.07 | 39 |
| 37.74 | 38 |
| 38.20 | 60 |
| 39.42 | 34 |
| 40.56 | 100 |
| 45.48 | 27 |
| 46.93 | 25 |

Lattice parameters (Å, degrees): 8.1467 8.1467 5.4399 91.76 91.76 101.48
Element x y z (fractional)
Li 0.1248 0.6283 0.8792
Li 0.3717 0.8752 0.6208
Li 0.6283 0.1248 0.3792
Li 0.8752 0.3717 0.1208
Ga 0.0435 0.9565 0.7500
Ga 0.2122 0.3032 0.0053
Ga 0.2228 0.5229 0.3829
Ga 0.3032 0.2122 0.5053
Ga 0.4771 0.7772 0.1171
Ga 0.5229 0.2228 0.8829
Ga 0.6968 0.7878 0.4947
Ga 0.7772 0.4771 0.6171
Ga 0.7878 0.6968 0.9947
Ga 0.9565 0.0435 0.2500
Ag 0.0185 0.7258 0.3700
Ag 0.2742 0.9815 0.1300
Ag 0.4530 0.5470 0.7500
Ag 0.5470 0.4530 0.2500
Ag 0.7258 0.0185 0.8700
Ag 0.9815 0.2742 0.6300

(7)
SrMg3Sb3: simulated powder diffraction line list (Cu Kα), based on a cell relaxed with PBE.
No peak broadening, texture or thermal motion is included.

Main lines, by angle (2θ from 5° to 70°):
| 2theta | I_rel |
| --- | --- |
| 21.69 | 14 |
| 22.62 | 20 |
| 24.50 | 100 |
| 31.54 | 47 |
| 38.03 | 52 |
| 40.87 | 39 |
| 44.71 | 18 |
| 45.76 | 19 |
| 57.06 | 15 |
| 60.97 | 15 |

Lattice parameters (Å, degrees): 9.1765 9.1765 9.1765 53.05 53.05 53.05
Element x y z (fractional)
Sr 0.1659 0.1659 0.1659
Sr 0.8341 0.8341 0.8341
Mg 0.0469 0.7075 0.3735
Mg 0.2925 0.6265 0.9531
Mg 0.3735 0.0469 0.7075
Mg 0.6265 0.9531 0.2925
Mg 0.7075 0.3735 0.0469
Mg 0.9531 0.2925 0.6265
Sb 0.0795 0.4175 0.7482
Sb 0.2518 0.9205 0.5825
Sb 0.4175 0.7482 0.0795
Sb 0.5825 0.2518 0.9205
Sb 0.7482 0.0795 0.4175
Sb 0.9205 0.5825 0.2518

(8)
ZnInPPt: simulated powder diffraction line list (Cu Kα), based on a cell relaxed with PBE.
No peak broadening, texture or thermal motion is included.

Main lines, by angle (2θ from 5° to 70°):
| 2theta | I_rel |
| --- | --- |
| 15.22 | 100 |
| 25.62 | 40 |
| 28.62 | 36 |
| 29.85 | 63 |
| 30.02 | 39 |
| 39.00 | 31 |
| 40.28 | 45 |
| 40.54 | 57 |
| 43.08 | 69 |
| 46.17 | 38 |

Lattice parameters (Å, degrees): 7.4510 3.9309 5.8238 90.00 90.78 90.00
Element x y z (fractional)
Zn 0.0000 0.0000 0.0000
Zn 0.5000 0.5000 0.0000
In 0.4869 0.5000 0.4457
In 0.9869 0.0000 0.4457
P 0.1450 0.5000 0.7712
P 0.6450 0.0000 0.7712
Pt 0.3282 0.0000 0.7488
Pt 0.8282 0.5000 0.7488

(9)
Sr4Al6SO16: simulated powder diffraction line list (Cu Kα), based on a cell relaxed with PBE.
No peak broadening, texture or thermal motion is included.

Main lines, by angle (2θ from 5° to 70°):
| 2theta | I_rel |
| --- | --- |
| 18.84 | 16 |
| 23.13 | 100 |
| 26.77 | 21 |
| 30.00 | 17 |
| 32.94 | 22 |
| 35.67 | 33 |
| 40.64 | 97 |
| 57.01 | 20 |
| 58.82 | 13 |
| 60.60 | 35 |

Lattice parameters (Å, degrees): 8.1573 8.1573 8.1573 109.47 109.47 109.47
Element x y z (fractional)
Sr 0.0000 0.0000 0.6074
Sr 0.0000 0.6074 0.0000
Sr 0.3926 0.3926 0.3926
Sr 0.6074 0.0000 0.0000
Al 0.2500 0.5000 0.7500
Al 0.2500 0.7500 0.5000
Al 0.5000 0.2500 0.7500
Al 0.5000 0.7500 0.2500
Al 0.7500 0.2500 0.5000
Al 0.7500 0.5000 0.2500
S 0.0000 0.0000 0.0000
O 0.0000 0.0000 0.1834
O 0.0000 0.1834 0.0000
O 0.0000 0.3950 0.6999
O 0.0000 0.6999 0.3950
O 0.1834 0.0000 0.0000
O 0.3001 0.3001 0.6951
O 0.3001 0.6951 0.3001
O 0.3049 0.6050 0.6050
O 0.3950 0.0000 0.6999
O 0.3950 0.6999 0.0000
O 0.6050 0.3049 0.6050
O 0.6050 0.6050 0.3049
O 0.6951 0.3001 0.3001
O 0.6999 0.0000 0.3950
O 0.6999 0.3950 0.0000
O 0.8166 0.8166 0.8166

(10)
CuI2O6: simulated powder diffraction line list (Cu Kα), based on a cell relaxed with PBE.
No peak broadening, texture or thermal motion is included.

Main lines, by angle (2θ from 5° to 70°):
| 2theta | I_rel |
| --- | --- |
| 24.45 | 72 |
| 25.09 | 100 |
| 25.46 | 19 |
| 26.93 | 22 |
| 30.46 | 21 |
| 35.11 | 27 |
| 35.49 | 31 |
| 37.30 | 22 |
| 46.59 | 20 |
| 51.51 | 18 |

Lattice parameters (Å, degrees): 5.1099 6.3414 8.3975 90.00 92.42 90.00
Element x y z (fractional)
Cu 0.0000 0.0000 0.0000
Cu 0.0000 0.5000 0.0000
I 0.0347 0.2500 0.6599
I 0.4606 0.2500 0.2568
I 0.5394 0.7500 0.7432
I 0.9653 0.7500 0.3401
O 0.1352 0.2500 0.8840
O 0.2339 0.0303 0.1911
O 0.2339 0.4697 0.1911
O 0.2475 0.0333 0.6018
O 0.2475 0.4667 0.6018
O 0.3146 0.7500 0.9030
O 0.6854 0.2500 0.0970
O 0.7525 0.5333 0.3982
O 0.7525 0.9667 0.3982
O 0.7661 0.5303 0.8089
O 0.7661 0.9697 0.8089
O 0.8648 0.7500 0.1160

(11)
Pm2Y5TmTh: simulated powder diffraction line list (Cu Kα), based on a cell relaxed with PBE.
No peak broadening, texture or thermal motion is included.

Main lines, by angle (2θ from 5° to 70°):
| 2theta | I_rel |
| --- | --- |
| 23.12 | 14 |
| 23.41 | 17 |
| 28.70 | 40 |
| 28.87 | 53 |
| 30.96 | 100 |
| 31.17 | 17 |
| 32.36 | 14 |
| 37.53 | 18 |
| 43.00 | 30 |
| 52.48 | 26 |

Lattice parameters (Å, degrees): 9.8711 9.8711 9.8711 127.39 127.39 77.61
Element x y z (fractional)
Pm 0.1154 0.6154 0.7308
Pm 0.3846 0.1154 0.5000
Pm 0.6154 0.8846 0.5000
Pm 0.8846 0.3846 0.2692
Y 0.0000 0.0000 0.0000
Y 0.0733 0.1491 0.5000
Y 0.1491 0.6491 0.0758
Y 0.3509 0.4267 0.5000
Y 0.4267 0.9267 0.0758
Y 0.5000 0.5000 0.0000
Y 0.5733 0.0733 0.9242
Y 0.6491 0.5733 0.5000
Y 0.8509 0.3509 0.9242
Y 0.9267 0.8509 0.5000
Tm 0.2500 0.7500 0.5000
Tm 0.7500 0.2500 0.5000
Th 0.2500 0.2500 0.0000
Th 0.7500 0.7500 0.0000

(12)
TbY2NpN4: simulated powder diffraction line list (Cu Kα), based on a cell relaxed with PBE.
No peak broadening, texture or thermal motion is included.

Main lines, by angle (2θ from 5° to 70°):
| 2theta | I_rel |
| --- | --- |
| 15.64 | 24 |
| 30.18 | 10 |
| 31.60 | 100 |
| 36.55 | 50 |
| 36.83 | 24 |
| 52.58 | 9 |
| 52.73 | 8 |
| 52.86 | 34 |
| 62.70 | 22 |
| 63.09 | 15 |

Lattice parameters (Å, degrees): 5.9942 3.4722 5.9959 90.00 109.01 90.00
Element x y z (fractional)
Tb 0.0000 0.0000 0.0000
Y 0.5000 0.0000 0.5000
Y 0.5000 0.5000 0.0000
Np 0.0000 0.5000 0.5000
N 0.2395 0.5000 0.2617
N 0.2422 0.0000 0.7413
N 0.7578 0.0000 0.2587
N 0.7605 0.5000 0.7383